Starting from DFT lattice parameters and positions (PBE), the powder diffraction line list of UAl4B3O14 was computed for copper Kα.

Principal peaks in the range 15 to 90 degrees two-theta, in order of rising 2θ:
2θ 16.9, d 5.258, intensity 100
2θ 18.1, d 4.911, intensity 75
2θ 18.4, d 4.815, intensity 28
2θ 18.6, d 4.770, intensity 40
2θ 18.9, d 4.693, intensity 42
2θ 25.5, d 3.496, intensity 29
2θ 28.6, d 3.118, intensity 28
2θ 34.1, d 2.628, intensity 29
2θ 36.7, d 2.451, intensity 23
2θ 40.7, d 2.215, intensity 40

Crystal structure
```
44
Lattice="9.6541 0.0000 0.0000 0.0000 5.6505 0.0000 -4.1432 0.0000 9.8488" Properties=species:S:1:pos:R:3 pbc="T T T"
U -0.1165 1.4126 2.6993
U 5.6275 4.2379 7.1495
Al -2.0801 1.4126 8.1513
Al 0.9626 1.4126 7.2092
Al 4.8271 0.0000 0.0000
Al 2.7555 0.0000 4.9244
Al 4.8271 2.8253 0.0000
Al 2.7555 2.8253 4.9244
Al 4.5484 4.2379 2.6396
Al 7.5911 4.2379 1.6975
B -1.7960 4.2379 9.0341
B 0.5850 4.2379 3.5114
B 1.6467 4.2379 7.3777
B 3.8642 1.4126 2.4711
B 4.9260 1.4126 6.3374
B 7.3069 1.4126 0.8147
O -1.4406 1.4126 3.9226
O -0.5007 4.2379 2.6672
O -2.4668 3.0937 8.6851
O -2.4668 5.3821 8.6851
O 1.1678 1.4126 1.4262
O -0.7775 1.4126 6.9122
O 1.1228 3.0279 3.8878
O 1.1228 5.4479 3.8878
O -0.3790 1.4126 9.1553
O -0.5449 4.2379 9.6019
O 1.9913 1.4126 5.8244
O 1.3424 3.0347 8.0288
O 2.1474 4.2379 6.1124
O 1.3424 5.4412 8.0288
O 4.1686 0.2094 1.8200
O 3.3636 1.4126 3.7364
O 4.1686 2.6159 1.8200
O 3.5197 4.2379 4.0245
O 6.0559 1.4126 0.2469
O 5.8900 4.2379 0.6935
O 4.3882 0.2027 5.9610
O 4.3882 2.6226 5.9610
O 6.2885 4.2379 2.9366
O 4.3432 4.2379 8.4226
O 7.9778 0.2684 1.1637
O 7.9778 2.5568 1.1637
O 6.0117 1.4126 7.1816
O 6.9515 4.2379 5.9262
```

Starting from DFT lattice parameters and positions (PBE), the powder diffraction line list of YAl3B4O12 was computed for copper Kα.

Principal peaks in the range 15 to 90 degrees two-theta, in order of rising 2θ:
2θ 16.3, d 5.430, intensity 33
2θ 19.0, d 4.682, intensity 21
2θ 25.1, d 3.546, intensity 43
2θ 31.7, d 2.827, intensity 29
2θ 33.0, d 2.715, intensity 100
2θ 38.3, d 2.349, intensity 28
2θ 38.5, d 2.341, intensity 16
2θ 42.0, d 2.150, intensity 26
2θ 47.5, d 1.916, intensity 28
2θ 54.3, d 1.688, intensity 25

Crystal structure
```
20
Lattice="4.6823 2.7033 2.4372 -4.6823 2.7033 2.4372 0.0000 -5.4067 2.4372" Properties=species:S:1:pos:R:3 pbc="T T T"
Y 0.0000 0.0000 0.0000
Al -2.0827 -1.7994 2.4372
Al -0.5170 2.7033 2.4372
Al -2.0827 1.7994 4.8744
B -4.1530 0.0000 3.6558
B 2.0765 -3.5966 3.6558
B 0.0000 0.0000 3.6558
B 2.0765 3.5966 3.6558
O -3.5169 -1.2105 3.4981
O -1.9113 -3.3106 3.6558
O -3.5169 1.2105 3.8136
O -0.6960 -1.2054 3.6558
O 0.7101 -3.6510 3.8136
O -0.6960 1.2054 3.6558
O -1.9114 3.3106 3.6558
O 2.8068 -2.4404 3.4981
O 1.3919 0.0000 3.6558
O 0.7101 3.6510 3.4981
O 3.8227 0.0000 3.6558
O 2.8068 2.4404 3.8136
```

Starting from DFT lattice parameters and positions (PBE), the powder diffraction line list of AlB2Pb was computed for copper Kα.

Principal peaks in the range 15 to 90 degrees two-theta, in order of rising 2θ:
2θ 24.1, d 3.692, intensity 100
2θ 27.9, d 3.197, intensity 43
2θ 39.9, d 2.261, intensity 66
2θ 47.1, d 1.928, intensity 54
2θ 49.4, d 1.846, intensity 13
2θ 57.7, d 1.599, intensity 11
2θ 63.4, d 1.467, intensity 23
2θ 65.3, d 1.430, intensity 17
2θ 72.4, d 1.305, intensity 23
2θ 77.6, d 1.231, intensity 17

Crystal structure
```
16
Lattice="6.3946 0.0000 0.0000 0.0000 6.3946 0.0000 0.0000 0.0000 6.3946" Properties=species:S:1:pos:R:3 pbc="T T T"
Al 0.0000 0.0000 0.0000
Al 0.0000 3.1973 3.1973
Al 3.1973 0.0000 3.1973
Al 3.1973 3.1973 0.0000
B 0.0000 0.0000 3.1973
B 0.0000 3.1973 0.0000
B 1.5986 1.5986 1.5986
B 1.5986 4.7959 4.7959
B 3.1973 0.0000 0.0000
B 3.1973 3.1973 3.1973
B 4.7959 1.5986 4.7959
B 4.7959 4.7959 1.5986
Pb 1.5986 1.5986 4.7959
Pb 1.5986 4.7959 1.5986
Pb 4.7959 1.5986 1.5986
Pb 4.7959 4.7959 4.7959
```